(1)
Simulated powder diffractogram
Compound: Ba3Cd2Bi2Sb2
Radiation: Cu Kα (λ = 1.5418 Å)
Structure: DFT lattice parameters and positions (PBE)
Neutral-atom scattering factors, no anomalous dispersion.

Structure:
```
data_Ba3Cd2Bi2Sb2
_chemical_formula_sum 'Ba6 Cd4 Bi4 Sb4'
_symmetry_space_group_name_H-M 'C 1 2/m 1'
_symmetry_Int_Tables_number 12
_symmetry_space_group_name_Hall '-C 2y'
_cell_length_a 18.3114
_cell_length_b 4.9770
_cell_length_c 7.8236
_cell_angle_alpha 90.00
_cell_angle_beta 112.35
_cell_angle_gamma 90.00
loop_
_atom_site_label
_atom_site_fract_x
_atom_site_fract_y
_atom_site_fract_z
_atom_site_occupancy
Ba1 0.0000 0.0000 0.0000 1
Ba2 0.1373 0.0000 0.5983 1
Cd1 0.1665 0.5000 0.9695 1
Bi1 0.2077 0.0000 0.2063 1
Sb1 0.0010 0.5000 0.6854 1
```

Most intense lines, 10° ≤ 2θ ≤ 80°, sorted by position:
hkl 1 1 -1, 21.2 deg, I 26; hkl 3 1 0, 23.9 deg, I 41; hkl 4 0 -2, 25.6 deg, I 29; hkl 6 0 -1, 29.3 deg, I 78; hkl 3 1 1, 29.6 deg, I 100; hkl 3 1 -2, 29.8 deg, I 53; hkl 5 1 -1, 30.4 deg, I 30; hkl 6 0 0, 31.7 deg, I 27; hkl 0 2 0, 36.1 deg, I 58; hkl 3 1 2, 38.8 deg, I 38

=====

(2)
Simulated powder diffractogram
Compound: Re16W13
Radiation: Cu Kα (λ = 1.5418 Å)
Structure: DFT lattice parameters and positions (PBE)
Neutral-atom scattering factors, no anomalous dispersion.

Structure:
```
data_Re16W13
_chemical_formula_sum 'Re32 W26'
_symmetry_space_group_name_H-M 'I -4 3 m'
_symmetry_Int_Tables_number 217
_symmetry_space_group_name_Hall 'I -4 2 3'
_cell_length_a 9.7040
_cell_length_b 9.7040
_cell_length_c 9.7040
_cell_angle_alpha 90.00
_cell_angle_beta 90.00
_cell_angle_gamma 90.00
loop_
_atom_site_label
_atom_site_fract_x
_atom_site_fract_y
_atom_site_fract_z
_atom_site_occupancy
Re1 0.0910 0.0910 0.7174 1
Re2 0.1768 0.1768 0.1768 1
W1 0.0000 0.0000 0.0000 1
W2 0.0447 0.3586 0.6414 1
```

Most intense lines, 10° ≤ 2θ ≤ 80°, sorted by position:
hkl 4 0 0, 37.1 deg, I 8; hkl 4 1 1, 39.4 deg, I 100; hkl 3 3 2, 43.8 deg, I 29; hkl 4 2 2, 45.8 deg, I 10; hkl 4 3 1, 47.8 deg, I 17; hkl 4 4 4, 66.8 deg, I 5; hkl 5 5 0, 68.4 deg, I 10; hkl 7 2 1, 71.4 deg, I 26; hkl 6 4 2, 73.0 deg, I 6; hkl 6 5 1, 77.4 deg, I 5